Record 1
For Pm8PrTm2, the PBE geometry in Alexandria gives the calculated powder diffractogram in this record (Cu Ka).
Neutral-atom scattering factors, no anomalous dispersion.

Structure:
```
11
Lattice="9.7166 -3.5323 0.0000 9.7166 3.5323 0.0000 -0.3162 0.0000 5.6434" Properties=species:S:1:pos:R:3 pbc="T T T"
Pm 0.7990 0.0000 1.3450
Pm 7.0231 1.9006 1.5140
Pm 5.8081 0.0000 4.3351
Pm 12.0940 1.9006 4.1295
Pm 7.0231 -1.9006 1.5140
Pm 13.3089 0.0000 1.3084
Pm 12.0940 -1.9006 4.1295
Pm 18.3181 0.0000 4.2984
Pr 9.7166 0.0000 0.0000
Tm 4.1025 0.0000 1.4301
Tm 15.0146 0.0000 4.2134
```

Principal peaks in the range 2θ = 10–80°, in order of rising 2θ:
| Position (°2θ) | I (rel.) |
| --- | --- |
| 31.0 | 87.2 |
| 31.1 | 69.2 |
| 31.3 | 100.0 |
| 31.5 | 50.1 |
| 31.7 | 51.3 |
| 32.7 | 40.3 |
| 34.8 | 18.5 |
| 55.1 | 24.6 |
| 57.7 | 19.8 |
| 61.6 | 18.2 |

=====

Record 2
For Pm3Pr4Tm3, the PBE geometry in Alexandria gives the calculated powder diffractogram in this record (Cu Ka).
Neutral-atom scattering factors, no anomalous dispersion.

Structure:
```
10
Lattice="3.8528 0.0000 0.0000 0.0000 6.6853 6.6520 0.0000 -6.6853 6.6520" Properties=species:S:1:pos:R:3 pbc="T T T"
Pm 0.0000 0.0000 0.0000
Pm 1.9264 -3.2942 7.7527
Pm 1.9264 3.2942 7.7527
Pr 1.9264 0.0000 2.7055
Pr 1.9264 0.0000 6.1439
Pr 1.9264 -1.7573 11.0452
Pr 1.9264 1.7573 11.0452
Tm 0.0000 -2.2494 4.4259
Tm 0.0000 2.2494 4.4259
Tm 0.0000 0.0000 8.8213
```

Principal peaks in the range 2θ = 10–80°, in order of rising 2θ:
| Position (°2θ) | I (rel.) |
| --- | --- |
| 30.0 | 83.3 |
| 31.4 | 100.0 |
| 38.2 | 11.5 |
| 46.2 | 13.4 |
| 47.2 | 15.1 |
| 55.0 | 10.5 |
| 56.9 | 10.4 |
| 56.9 | 9.7 |
| 57.7 | 9.5 |
| 57.9 | 9.4 |